No. 1
This entry pairs a crystal structure of AcGdTlIr with its theoretical X-ray diffraction stick pattern. Radiation: Cu Kα (weighted mean of Kα1 and Kα2). Structure: a DFT-relaxed cell (PBE, Alexandria).
Intensities are scaled so that the largest is 100.

Peak list (5 most intense, 5 to 70 degrees two-theta, in order of falling intensity)
33.47 deg, I 100.0
59.83 deg, I 38.7
48.06 deg, I 18.4
20.31 deg, I 1.6
39.47 deg, I 1.0

Cell and atoms:
```
AcGdTlIr
1.0
7.572 0.000 0.000
0.000 7.572 0.000
0.000 0.000 7.572
Ac Gd Tl Ir
4 4 4 4
Direct
0.000 0.000 0.000
0.000 0.500 0.500
0.500 0.000 0.500
0.500 0.500 0.000
0.000 0.000 0.500
0.000 0.500 0.000
0.500 0.000 0.000
0.500 0.500 0.500
0.250 0.250 0.250
0.250 0.750 0.750
0.750 0.250 0.750
0.750 0.750 0.250
0.250 0.250 0.750
0.250 0.750 0.250
0.750 0.250 0.250
0.750 0.750 0.750
```

No. 2
This entry pairs a crystal structure of SrCa3Pd with its theoretical X-ray diffraction stick pattern. Radiation: Cu Kα (weighted mean of Kα1 and Kα2). Structure: a DFT-relaxed cell (PBE, Alexandria).
Intensities are scaled so that the largest is 100.

Peak list (10 most intense, 5 to 70 degrees two-theta, in order of falling intensity)
14.03 deg, I 100.0
30.18 deg, I 76.1
21.62 deg, I 61.2
29.28 deg, I 52.7
29.18 deg, I 40.7
35.34 deg, I 40.3
32.85 deg, I 35.1
33.91 deg, I 34.9
42.96 deg, I 33.0
34.04 deg, I 25.7

Cell and atoms:
```
SrCa3Pd
1.0
4.923 -7.402 0.000
4.923 7.402 0.000
-4.912 0.000 4.952
Sr Ca Pd
2 6 2
Direct
0.198 0.802 0.500
0.802 0.198 0.000
0.128 0.532 0.789
0.393 0.480 0.326
0.480 0.393 0.826
0.532 0.128 0.289
0.831 0.931 0.432
0.931 0.831 0.932
0.531 0.773 0.881
0.773 0.531 0.381
```

No. 3
This entry pairs a crystal structure of K2GaGe2 with its theoretical X-ray diffraction stick pattern. Radiation: Cu Kα (weighted mean of Kα1 and Kα2). Structure: a DFT-relaxed cell (PBE, Alexandria).
Intensities are scaled so that the largest is 100.

Peak list (10 most intense, 5 to 70 degrees two-theta, in order of falling intensity)
29.92 deg, I 100.0
30.40 deg, I 75.5
36.40 deg, I 67.9
38.07 deg, I 63.1
20.15 deg, I 51.2
15.33 deg, I 40.8
35.48 deg, I 40.6
9.05 deg, I 33.2
32.14 deg, I 29.5
51.74 deg, I 28.6

Cell and atoms:
```
K2GaGe2
1.0
5.783 -2.468 0.000
5.783 2.468 0.000
-5.404 0.000 9.773
K Ga Ge
4 2 4
Direct
0.088 0.088 0.384
0.326 0.326 0.809
0.674 0.674 0.191
0.912 0.912 0.616
0.354 0.354 0.143
0.646 0.646 0.857
0.097 0.097 0.959
0.392 0.392 0.400
0.608 0.608 0.600
0.903 0.903 0.041
```

No. 4
This entry pairs a crystal structure of Ac8Nd5Er with its theoretical X-ray diffraction stick pattern. Radiation: Cu Kα (weighted mean of Kα1 and Kα2). Structure: a DFT-relaxed cell (PBE, Alexandria).
Intensities are scaled so that the largest is 100.

Peak list (10 most intense, 5 to 70 degrees two-theta, in order of falling intensity)
29.02 deg, I 100.0
28.85 deg, I 52.0
30.14 deg, I 44.5
30.57 deg, I 41.6
27.88 deg, I 38.5
47.94 deg, I 17.7
38.46 deg, I 17.5
56.92 deg, I 15.9
57.04 deg, I 15.5
53.49 deg, I 11.8

Cell and atoms:
```
Ac8Nd5Er
1.0
7.590 0.000 0.000
-1.904 9.062 0.000
-1.890 -4.427 8.270
Ac Nd Er
8 5 1
Direct
0.000 0.000 0.000
0.037 0.830 0.290
0.313 0.683 0.567
0.386 0.410 0.148
0.504 0.004 0.015
0.604 0.548 0.871
0.813 0.677 0.557
0.922 0.242 0.434
0.111 0.551 0.881
0.418 0.232 0.432
0.535 0.839 0.297
0.711 0.127 0.717
0.886 0.402 0.139
0.213 0.126 0.717
```

No. 5
This entry pairs a crystal structure of Na4CdI2 with its theoretical X-ray diffraction stick pattern. Radiation: Cu Kα (weighted mean of Kα1 and Kα2). Structure: a DFT-relaxed cell (PBE, Alexandria).
Intensities are scaled so that the largest is 100.

Peak list (10 most intense, 5 to 70 degrees two-theta, in order of falling intensity)
21.14 deg, I 100.0
22.12 deg, I 85.0
30.07 deg, I 66.5
31.19 deg, I 61.1
43.87 deg, I 46.7
37.64 deg, I 42.6
10.81 deg, I 25.9
43.05 deg, I 24.4
48.43 deg, I 21.4
30.49 deg, I 19.8

Cell and atoms:
```
Na4CdI2
1.0
5.943 0.000 0.000
0.000 5.943 0.000
0.000 0.000 16.370
Na Cd I
8 2 4
Direct
0.000 0.000 0.189
0.000 0.000 0.811
0.000 0.500 0.000
0.000 0.500 0.500
0.500 0.000 0.000
0.500 0.000 0.500
0.500 0.500 0.311
0.500 0.500 0.689
0.000 0.000 0.000
0.500 0.500 0.500
0.000 0.000 0.374
0.000 0.000 0.626
0.500 0.500 0.126
0.500 0.500 0.874
```

No. 6
This entry pairs a crystal structure of La3In4Ge with its theoretical X-ray diffraction stick pattern. Radiation: Cu Kα (weighted mean of Kα1 and Kα2). Structure: a DFT-relaxed cell (PBE, Alexandria).
Intensities are scaled so that the largest is 100.

Peak list (10 most intense, 5 to 70 degrees two-theta, in order of falling intensity)
31.88 deg, I 100.0
32.64 deg, I 58.9
61.95 deg, I 19.5
44.41 deg, I 13.0
48.72 deg, I 11.9
29.11 deg, I 9.3
29.29 deg, I 9.0
64.64 deg, I 9.0
46.83 deg, I 8.4
43.69 deg, I 8.2

Cell and atoms:
```
La3In4Ge
1.0
-4.338 4.338 6.099
4.338 -4.338 6.099
4.338 4.338 -6.099
La In Ge
6 8 2
Direct
0.165 0.665 0.830
0.250 0.250 0.000
0.335 0.165 0.500
0.665 0.835 0.500
0.750 0.750 0.000
0.835 0.335 0.170
0.039 0.824 0.500
0.176 0.676 0.216
0.324 0.539 0.500
0.461 0.961 0.784
0.539 0.039 0.216
0.676 0.461 0.500
0.824 0.324 0.784
0.961 0.176 0.500
0.000 0.000 0.000
0.500 0.500 0.000
```

No. 7
This entry pairs a crystal structure of In6HgTe3 with its theoretical X-ray diffraction stick pattern. Radiation: Cu Kα (weighted mean of Kα1 and Kα2). Structure: a DFT-relaxed cell (PBE, Alexandria).
Intensities are scaled so that the largest is 100.

Peak list (10 most intense, 5 to 70 degrees two-theta, in order of falling intensity)
32.97 deg, I 100.0
28.85 deg, I 58.3
23.04 deg, I 45.9
31.38 deg, I 44.6
30.47 deg, I 43.1
38.00 deg, I 41.0
33.55 deg, I 36.3
31.71 deg, I 34.6
24.56 deg, I 30.7
38.58 deg, I 27.7

Cell and atoms:
```
In6HgTe3
1.0
6.158 -5.944 0.000
6.158 5.944 0.000
0.000 0.000 8.968
In Hg Te
12 2 6
Direct
0.045 0.955 0.500
0.133 0.572 0.400
0.219 0.443 0.990
0.219 0.781 0.806
0.428 0.867 0.400
0.443 0.219 0.490
0.557 0.781 0.990
0.572 0.133 0.900
0.781 0.219 0.306
0.781 0.557 0.490
0.867 0.428 0.900
0.955 0.045 0.000
0.191 0.809 0.148
0.809 0.191 0.648
0.160 0.240 0.271
0.240 0.160 0.771
0.437 0.563 0.586
0.563 0.437 0.086
0.760 0.840 0.271
0.840 0.760 0.771
```

No. 8
This entry pairs a crystal structure of CdAg2Hg with its theoretical X-ray diffraction stick pattern. Radiation: Cu Kα (weighted mean of Kα1 and Kα2). Structure: a DFT-relaxed cell (PBE, Alexandria).
Intensities are scaled so that the largest is 100.

Peak list (10 most intense, 5 to 70 degrees two-theta, in order of falling intensity)
36.28 deg, I 100.0
61.80 deg, I 20.5
41.19 deg, I 17.5
41.29 deg, I 17.4
43.90 deg, I 14.5
59.74 deg, I 11.4
22.72 deg, I 3.8
23.84 deg, I 3.4
20.26 deg, I 2.7
29.78 deg, I 2.3

Cell and atoms:
```
CdAg2Hg
1.0
4.125 0.000 0.000
0.000 4.373 0.000
0.000 0.000 8.767
Cd Ag Hg
2 4 2
Direct
0.000 0.000 0.000
0.500 0.500 0.500
0.000 0.500 0.250
0.000 0.500 0.750
0.500 0.000 0.250
0.500 0.000 0.750
0.000 0.000 0.500
0.500 0.500 0.000
```

No. 9
This entry pairs a crystal structure of Rb2BaInBr6 with its theoretical X-ray diffraction stick pattern. Radiation: Cu Kα (weighted mean of Kα1 and Kα2). Structure: a DFT-relaxed cell (PBE, Alexandria).
Intensities are scaled so that the largest is 100.

Peak list (10 most intense, 5 to 70 degrees two-theta, in order of falling intensity)
29.57 deg, I 100.0
42.30 deg, I 72.7
25.53 deg, I 40.8
20.79 deg, I 38.8
14.66 deg, I 37.9
69.58 deg, I 31.4
52.45 deg, I 25.2
33.15 deg, I 19.7
36.42 deg, I 17.9
50.06 deg, I 17.3

Cell and atoms:
```
Rb2BaInBr6
1.0
-4.274 4.274 6.039
4.274 -4.274 6.039
4.274 4.274 -6.039
Rb Ba In Br
2 1 1 6
Direct
0.250 0.750 0.500
0.750 0.250 0.500
0.000 0.000 0.000
0.500 0.500 0.000
0.260 0.260 0.521
0.260 0.740 0.000
0.261 0.261 0.000
0.739 0.739 0.000
0.740 0.260 0.000
0.740 0.740 0.479
```

No. 10
This entry pairs a crystal structure of Li3ZnGe4 with its theoretical X-ray diffraction stick pattern. Radiation: Cu Kα (weighted mean of Kα1 and Kα2). Structure: a DFT-relaxed cell (PBE, Alexandria).
Intensities are scaled so that the largest is 100.

Peak list (10 most intense, 5 to 70 degrees two-theta, in order of falling intensity)
44.55 deg, I 100.0
30.40 deg, I 88.6
40.15 deg, I 83.7
20.63 deg, I 79.5
41.97 deg, I 40.8
13.28 deg, I 39.9
52.70 deg, I 37.4
37.03 deg, I 26.4
26.75 deg, I 25.1
39.04 deg, I 23.2

Cell and atoms:
```
Li3ZnGe4
1.0
3.062 0.000 0.000
0.000 8.611 0.000
0.000 0.000 10.532
Li Zn Ge
6 2 8
Direct
0.000 0.000 0.000
0.000 0.500 0.217
0.000 0.500 0.783
0.500 0.000 0.283
0.500 0.000 0.717
0.500 0.500 0.500
0.000 0.000 0.500
0.500 0.500 0.000
0.000 0.252 0.362
0.000 0.252 0.638
0.000 0.748 0.362
0.000 0.748 0.638
0.500 0.248 0.138
0.500 0.248 0.862
0.500 0.752 0.138
0.500 0.752 0.862
```

No. 11
This entry pairs a crystal structure of CsAlSbSe4 with its theoretical X-ray diffraction stick pattern. Radiation: Cu Kα (weighted mean of Kα1 and Kα2). Structure: a DFT-relaxed cell (PBE, Alexandria).
Intensities are scaled so that the largest is 100.

Peak list (10 most intense, 5 to 70 degrees two-theta, in order of falling intensity)
28.72 deg, I 100.0
29.31 deg, I 97.5
28.00 deg, I 79.4
30.95 deg, I 55.7
39.34 deg, I 54.8
24.31 deg, I 54.3
32.90 deg, I 52.7
27.25 deg, I 51.2
49.57 deg, I 45.8
9.39 deg, I 43.7

Cell and atoms:
```
CsAlSbSe4
1.0
6.644 0.000 0.000
0.000 7.323 0.000
-1.690 0.000 9.414
Cs Al Sb Se
2 2 2 8
Direct
0.221 0.250 0.070
0.779 0.750 0.930
0.346 0.250 0.667
0.654 0.750 0.333
0.162 0.750 0.408
0.838 0.250 0.592
0.123 0.505 0.700
0.123 0.995 0.700
0.333 0.750 0.172
0.437 0.250 0.438
0.563 0.750 0.562
0.667 0.250 0.828
0.877 0.005 0.300
0.877 0.495 0.300
```

No. 12
This entry pairs a crystal structure of Pm2Si3Pt12Rh with its theoretical X-ray diffraction stick pattern. Radiation: Cu Kα (weighted mean of Kα1 and Kα2). Structure: a DFT-relaxed cell (PBE, Alexandria).
Intensities are scaled so that the largest is 100.

Peak list (10 most intense, 5 to 70 degrees two-theta, in order of falling intensity)
31.89 deg, I 100.0
44.12 deg, I 54.2
47.28 deg, I 43.1
55.46 deg, I 19.4
66.65 deg, I 14.4
23.13 deg, I 12.0
38.87 deg, I 7.5
34.79 deg, I 7.4
21.65 deg, I 6.3
27.43 deg, I 5.8

Cell and atoms:
```
Pm2Si3Pt12Rh
1.0
4.105 2.370 6.095
-4.105 2.370 6.095
0.000 -4.740 6.095
Pm Si Pt Rh
2 3 12 1
Direct
0.112 0.112 0.112
0.888 0.888 0.888
0.000 0.500 0.500
0.500 0.000 0.500
0.500 0.500 0.000
0.119 0.631 0.631
0.145 0.145 0.602
0.145 0.602 0.145
0.369 0.369 0.881
0.369 0.881 0.369
0.398 0.855 0.855
0.602 0.145 0.145
0.631 0.119 0.631
0.631 0.631 0.119
0.855 0.398 0.855
0.855 0.855 0.398
0.881 0.369 0.369
0.500 0.500 0.500
```

No. 13
This entry pairs a crystal structure of Hf2Zr2Rh3 with its theoretical X-ray diffraction stick pattern. Radiation: Cu Kα (weighted mean of Kα1 and Kα2). Structure: a DFT-relaxed cell (PBE, Alexandria).
Intensities are scaled so that the largest is 100.

Peak list (10 most intense, 5 to 70 degrees two-theta, in order of falling intensity)
39.33 deg, I 100.0
39.39 deg, I 66.0
38.68 deg, I 35.3
56.31 deg, I 23.4
20.29 deg, I 21.8
28.54 deg, I 14.3
27.29 deg, I 11.7
57.50 deg, I 10.3
48.77 deg, I 8.0
44.60 deg, I 5.8

Cell and atoms:
```
Hf2Zr2Rh3
1.0
4.587 0.000 0.000
-0.004 4.656 0.000
-2.286 -2.329 6.411
Hf Zr Rh
2 2 3
Direct
0.123 0.122 0.246
0.877 0.878 0.754
0.378 0.379 0.758
0.622 0.621 0.242
0.242 0.741 0.483
0.500 0.000 0.000
0.758 0.259 0.517
```

No. 14
This entry pairs a crystal structure of YMgIn with its theoretical X-ray diffraction stick pattern. Radiation: Cu Kα (weighted mean of Kα1 and Kα2). Structure: a DFT-relaxed cell (PBE, Alexandria).
Intensities are scaled so that the largest is 100.

Peak list (10 most intense, 5 to 70 degrees two-theta, in order of falling intensity)
34.59 deg, I 100.0
35.65 deg, I 70.3
29.99 deg, I 37.2
30.54 deg, I 35.5
62.33 deg, I 28.7
36.20 deg, I 28.3
37.51 deg, I 24.4
56.93 deg, I 22.9
21.24 deg, I 20.9
18.50 deg, I 20.0

Cell and atoms:
```
YMgIn
1.0
5.853 0.000 0.000
0.000 6.165 0.000
0.000 0.000 8.364
Y Mg In
4 4 4
Direct
0.000 0.250 0.127
0.000 0.750 0.873
0.500 0.250 0.373
0.500 0.750 0.627
0.250 0.250 0.750
0.250 0.750 0.250
0.750 0.250 0.750
0.750 0.750 0.250
0.000 0.000 0.500
0.000 0.500 0.500
0.500 0.000 0.000
0.500 0.500 0.000
```